# 1
For LiFe6O4F8, a DFT-relaxed cell (GGA+U, the Materials Project) gives the calculated powder XRD pattern in this record (Cu Kα, 1.54184 Å).
Intensities are scaled so that the largest is 100.

Top 10 peaks for 2θ from 15° to 90°, in order of rising 2θ:
| two_theta | intensity | index |
| --- | --- | --- |
| 24.74 | 100 | 1 1 2 |
| 26.53 | 94 | 1 -1 0 |
| 34.11 | 27 | 1 0 -2 |
| 34.18 | 26 | 1 2 0 |
| 34.28 | 30 | 2 1 0 |
| 34.47 | 30 | 0 1 -2 |
| 49.73 | 32 | 0 1 4 |
| 50.13 | 16 | 3 2 2 |
| 50.73 | 26 | 2 2 4 |
| 59.80 | 18 | 2 2 -2 |

```
data_LiFe6O4F8
_cell_length_a 5.782
_cell_length_b 5.859
_cell_length_c 7.829
_cell_angle_alpha 68.25
_cell_angle_beta 69.61
_cell_angle_gamma 70.53
_symmetry_space_group_name_H-M 'P 1'
_symmetry_Int_Tables_number 1
loop_
_symmetry_equiv_pos_as_xyz
'x,y,z'
loop_
_atom_site_label
_atom_site_type_symbol
_atom_site_fract_x
_atom_site_fract_y
_atom_site_fract_z
Li1 Li 0.000 0.000 0.000
Fe1 Fe 0.003 0.527 0.975
Fe2 Fe 0.024 0.490 0.490
Fe3 Fe 0.306 0.843 0.663
Fe4 Fe 0.390 0.811 0.168
Fe5 Fe 0.637 0.190 0.811
Fe6 Fe 0.651 0.190 0.335
O1 O 0.318 0.187 0.491
O2 O 0.352 0.495 0.825
O3 O 0.671 0.511 0.154
O4 O 0.951 0.880 0.821
F1 F 0.065 0.130 0.163
F2 F 0.094 0.642 0.179
F3 F 0.245 0.740 0.463
F4 F 0.388 0.950 0.867
F5 F 0.627 0.053 0.135
F6 F 0.713 0.805 0.500
F7 F 0.775 0.271 0.511
F8 F 0.921 0.375 0.807
```

# 2
For Li3FeO2F2, a DFT-relaxed cell (GGA+U, the Materials Project) gives the calculated powder XRD pattern in this record (Cu Kα, 1.54184 Å).
Intensities are scaled so that the largest is 100.

Top 10 peaks for 2θ from 15° to 90°, in order of rising 2θ:
| two_theta | intensity | index |
| --- | --- | --- |
| 18.34 | 84 | 1 0 0 |
| 23.72 | 86 | 1 1 0 |
| 26.17 | 24 | 1 1 -1 |
| 35.47 | 26 | 0 2 1 |
| 38.92 | 13 | 1 1 -2 |
| 40.25 | 31 | 2 1 0 |
| 43.04 | 100 | 1 2 1 |
| 43.55 | 50 | 2 0 -2 |
| 62.42 | 14 | 2 0 2 |
| 62.89 | 52 | 1 2 -3 |

```
data_Li3FeO2F2
_cell_length_a 5.109
_cell_length_b 5.937
_cell_length_c 5.114
_cell_angle_alpha 90.00
_cell_angle_beta 108.80
_cell_angle_gamma 90.00
_symmetry_space_group_name_H-M 'P 1'
_symmetry_Int_Tables_number 1
loop_
_symmetry_equiv_pos_as_xyz
'x,y,z'
loop_
_atom_site_label
_atom_site_type_symbol
_atom_site_fract_x
_atom_site_fract_y
_atom_site_fract_z
Li1 Li 0.000 0.117 0.250
Li2 Li 0.000 0.360 0.750
Li3 Li 0.000 0.640 0.250
Li4 Li 0.000 0.883 0.750
Li5 Li 0.500 0.373 0.250
Li6 Li 0.500 0.627 0.750
Fe1 Fe 0.500 0.097 0.750
Fe2 Fe 0.500 0.903 0.250
O1 O 0.268 0.123 0.993
O2 O 0.268 0.877 0.493
O3 O 0.732 0.123 0.507
O4 O 0.732 0.877 0.007
F1 F 0.253 0.376 0.509
F2 F 0.253 0.624 0.009
F3 F 0.747 0.376 0.991
F4 F 0.747 0.624 0.491
```

# 3
For Li4FeO3F, a DFT-relaxed cell (GGA+U, the Materials Project) gives the calculated powder XRD pattern in this record (Cu Kα, 1.54184 Å).
Intensities are scaled so that the largest is 100.

Top 10 peaks for 2θ from 15° to 90°, in order of rising 2θ:
| two_theta | intensity | index |
| --- | --- | --- |
| 19.01 | 100 | 0 1 1 |
| 20.79 | 84 | 1 1 0 |
| 21.74 | 81 | 1 0 -1 |
| 22.11 | 64 | 1 0 1 |
| 25.61 | 90 | 0 1 -1 |
| 27.28 | 66 | 1 1 2 |
| 31.23 | 41 | 1 -1 0 |
| 38.56 | 53 | 0 2 0 |
| 40.63 | 40 | 2 2 1 |
| 43.83 | 40 | 1 -1 2 |

```
data_Li4FeO3F
_cell_length_a 5.282
_cell_length_b 5.357
_cell_length_c 7.829
_cell_angle_alpha 70.41
_cell_angle_beta 83.30
_cell_angle_gamma 66.75
_symmetry_space_group_name_H-M 'P 1'
_symmetry_Int_Tables_number 1
loop_
_symmetry_equiv_pos_as_xyz
'x,y,z'
loop_
_atom_site_label
_atom_site_type_symbol
_atom_site_fract_x
_atom_site_fract_y
_atom_site_fract_z
Li1 Li 0.000 0.000 0.000
Li2 Li 0.003 0.836 0.423
Li3 Li 0.486 0.219 0.452
Li4 Li 0.490 0.648 0.587
Li5 Li 0.509 0.501 0.004
Li6 Li 0.530 0.128 0.789
Li7 Li 0.962 0.330 0.225
Li8 Li 0.986 0.209 0.583
Fe1 Fe 0.512 0.933 0.215
Fe2 Fe 0.966 0.570 0.766
O1 O 0.240 0.438 0.608
O2 O 0.258 0.035 0.394
O3 O 0.404 0.898 0.012
O4 O 0.745 0.360 0.807
O5 O 0.749 0.122 0.198
O6 O 0.776 0.942 0.625
F1 F 0.089 0.568 0.005
F2 F 0.737 0.537 0.383
```

# 4
For LiFe4OF7, a DFT-relaxed cell (GGA+U, the Materials Project) gives the calculated powder XRD pattern in this record (Cu Kα, 1.54184 Å).
Intensities are scaled so that the largest is 100.

Top 10 peaks for 2θ from 15° to 90°, in order of rising 2θ:
| two_theta | intensity | index |
| --- | --- | --- |
| 25.19 | 100 | 1 1 1 |
| 32.99 | 29 | 2 1 -2 |
| 33.31 | 30 | 1 0 -3 |
| 37.85 | 20 | 1 1 -3 |
| 49.33 | 31 | 3 2 -1 |
| 50.03 | 28 | 4 1 0 |
| 51.72 | 18 | 2 2 2 |
| 57.38 | 9 | 4 0 -4 |
| 61.91 | 13 | 2 3 -2 |
| 63.67 | 20 | 5 0 1 |

```
data_LiFe4OF7
_cell_length_a 8.091
_cell_length_b 5.084
_cell_length_c 8.091
_cell_angle_alpha 90.00
_cell_angle_beta 105.11
_cell_angle_gamma 90.00
_symmetry_space_group_name_H-M 'P 1'
_symmetry_Int_Tables_number 1
loop_
_symmetry_equiv_pos_as_xyz
'x,y,z'
loop_
_atom_site_label
_atom_site_type_symbol
_atom_site_fract_x
_atom_site_fract_y
_atom_site_fract_z
Li1 Li 0.130 0.000 0.105
Li2 Li 0.870 0.500 0.895
Fe1 Fe 0.101 0.512 0.227
Fe2 Fe 0.194 0.994 0.579
Fe3 Fe 0.318 0.522 0.961
Fe4 Fe 0.452 0.961 0.315
Fe5 Fe 0.548 0.461 0.685
Fe6 Fe 0.682 0.022 0.039
Fe7 Fe 0.806 0.494 0.421
Fe8 Fe 0.899 0.012 0.773
O1 O 0.284 0.712 0.167
O2 O 0.716 0.212 0.833
F1 F 0.044 0.703 0.434
F2 F 0.082 0.305 0.969
F3 F 0.134 0.823 0.797
F4 F 0.216 0.162 0.342
F5 F 0.316 0.303 0.727
F6 F 0.415 0.778 0.550
F7 F 0.464 0.195 0.090
F8 F 0.536 0.695 0.910
F9 F 0.585 0.278 0.450
F10 F 0.684 0.803 0.273
F11 F 0.784 0.662 0.658
F12 F 0.866 0.323 0.203
F13 F 0.918 0.805 0.031
F14 F 0.956 0.203 0.566
```